Diffraction record for RbLiHgBr4. The XRD peak list is simulated, not measured: it uses a GGA-PBE-relaxed structure and Cu Kα (λ = 1.5418 Å).
Neutral-atom scattering factors, no anomalous dispersion.

The 8 most intense peaks (5 to 70 degrees two-theta), by angle:
14.80 deg, intensity 58, hkl 0 1 1; 20.87 deg, intensity 38, hkl 1 0 -2; 22.58 deg, intensity 39, hkl 0 2 0; 27.04 deg, intensity 67, hkl 1 2 -1; 28.46 deg, intensity 36, hkl 1 1 2; 29.18 deg, intensity 100, hkl 1 0 -3; 33.04 deg, intensity 36, hkl 2 1 1; 46.11 deg, intensity 37, hkl 0 4 0

Crystal structure
Cell: 6.7380 7.8749 9.4633 Å, 90.00 103.24 90.00°
Space group P2_1/m (No. 11)
One atom of each set of equivalent atoms:
Rb (0.2192, 0.2500, 0.0767) x2
Li (0.3200, 0.2500, 0.6892) x2
Hg (0.1939, 0.7500, 0.3539) x2
Br (0.0833, 0.0042, 0.7274) x4
Br (0.3650, 0.7500, 0.1031) x2
Br (0.4601, 0.2500, 0.4591) x2